No. 1
For Nd3Si4Ir2Pd2, a cell relaxed with GGA-PBE gives the theoretical X-ray powder pattern in this record (Cu Kα X-rays).
Kinematic intensities with the Lorentz-polarization factor, no thermal factor.

Cell and atoms:
```
data_Nd3Si4Ir2Pd2
_chemical_formula_sum 'Nd6 Si8 Ir4 Pd4'
_symmetry_space_group_name_H-M 'I m m m'
_symmetry_Int_Tables_number 71
_symmetry_space_group_name_Hall '-I 2 2'
_cell_length_a 4.098
_cell_length_b 4.195
_cell_length_c 24.805
_cell_angle_alpha 90.00
_cell_angle_beta 90.00
_cell_angle_gamma 90.00
loop_
_atom_site_label
_atom_site_type_symbol
_atom_site_fract_x
_atom_site_fract_y
_atom_site_fract_z
Nd1 Nd 0.000 0.000 0.000
Nd2 Nd 0.000 0.500 0.147
Si1 Si 0.000 0.000 0.452
Si2 Si 0.000 0.500 0.302
Ir1 Ir 0.000 0.000 0.250
Pd1 Pd 0.000 0.500 0.401
```

The 10 most intense peaks (5° ≤ 2θ ≤ 70°), low angle first:
7.13°, I = 53; 28.79°, I = 16; 33.43°, I = 19; 33.82°, I = 100; 39.11°, I = 10; 43.12°, I = 19; 44.20°, I = 17; 45.67°, I = 10; 63.47°, I = 12; 68.46°, I = 11

No. 2
For LaZrCd2Au4, a cell relaxed with GGA-PBE gives the theoretical X-ray powder pattern in this record (Cu Kα X-rays).
Kinematic intensities with the Lorentz-polarization factor, no thermal factor.

Cell and atoms:
```
data_LaZrCd2Au4
_chemical_formula_sum 'La1 Zr1 Cd2 Au4'
_symmetry_space_group_name_H-M 'P 4/m m m'
_symmetry_Int_Tables_number 123
_symmetry_space_group_name_Hall '-P 4 2'
_cell_length_a 4.973
_cell_length_b 4.973
_cell_length_c 6.925
_cell_angle_alpha 90.00
_cell_angle_beta 90.00
_cell_angle_gamma 90.00
loop_
_atom_site_label
_atom_site_type_symbol
_atom_site_fract_x
_atom_site_fract_y
_atom_site_fract_z
La1 La 0.000 0.000 0.000
Zr1 Zr 0.500 0.500 0.500
Cd1 Cd 0.000 0.000 0.500
Cd2 Cd 0.500 0.500 0.000
Au1 Au 0.000 0.500 0.275
```

The 10 most intense peaks (5° ≤ 2θ ≤ 70°), low angle first:
25.33°, I = 9; 28.47°, I = 4; 36.12°, I = 54; 36.42°, I = 100; 44.88°, I = 3; 52.01°, I = 19; 52.88°, I = 7; 54.22°, I = 4; 65.15°, I = 36; 65.72°, I = 15